Starting from a DFT-relaxed cell (PBE, Alexandria), the powder XRD pattern of Pm5Pr5Sb6 was simulated for λ = 1.5418 Å (Cu Kα).
Neutral-atom scattering factors, no anomalous dispersion.

Principal peaks in the range 2θ from 15° to 90°, by angle:
d (Å)  2θ/deg  Rel. int.
3.265  27.3  17
3.056  29.2  32
3.028  29.5  17
2.768  32.3  100
2.695  33.2  58
2.676  33.5  89
1.899  47.9  23
1.773  51.5  27
1.450  64.2  11
1.396  67.0  15

Cell and atoms:
Unit cell a=6.5309 b=9.3288 c=9.3288 alpha=119.83 beta=90.00 gamma=90.00
Positions (direct):
1 Pm 0.0000 0.0000 0.0000
2 Pm 0.2499 0.5845 0.9185
3 Pm 0.2499 0.9185 0.5845
4 Pm 0.7501 0.5845 0.9185
5 Pm 0.7501 0.9185 0.5845
6 Pr 0.0000 0.2520 0.5016
7 Pr 0.0000 0.5016 0.2520
8 Pr 0.5000 0.0024 0.2514
9 Pr 0.5000 0.2514 0.0024
10 Pr 0.5000 0.5032 0.5032
11 Sb 0.0000 0.2499 0.8639
12 Sb 0.0000 0.6421 0.6421
13 Sb 0.0000 0.8639 0.2499
14 Sb 0.5000 0.2515 0.6404
15 Sb 0.5000 0.6404 0.2515
16 Sb 0.5000 0.8631 0.8631

Starting from a DFT-relaxed cell (PBE, Alexandria), the powder XRD pattern of Pm3PrSb2 was simulated for λ = 1.5418 Å (Cu Kα).
Neutral-atom scattering factors, no anomalous dispersion.

Principal peaks in the range 2θ from 15° to 90°, by angle:
d (Å)  2θ/deg  Rel. int.
3.042  29.4  100
2.948  30.3  41
2.613  34.3  84
2.479  36.2  22
2.291  39.3  58
1.809  50.5  39
1.620  56.8  20
1.430  65.3  20
1.420  65.8  18
1.377  68.1  22

Cell and atoms:
Unit cell a=4.5812 b=4.5812 c=8.8431 alpha=90.00 beta=90.00 gamma=90.00
Positions (direct):
1 Pm 0.0000 0.0000 0.0000
2 Pm 0.0000 0.5000 0.6438
3 Pm 0.5000 0.0000 0.3562
4 Pr 0.5000 0.5000 0.0000
5 Sb 0.0000 0.5000 0.2811
6 Sb 0.5000 0.0000 0.7189

Starting from a DFT-relaxed cell (PBE, Alexandria), the powder XRD pattern of PmPr5Sb6 was simulated for λ = 1.5418 Å (Cu Kα).
Neutral-atom scattering factors, no anomalous dispersion.

Principal peaks in the range 2θ from 15° to 90°, by angle:
d (Å)  2θ/deg  Rel. int.
3.713  24.0  1
3.216  27.7  100
2.274  39.6  77
1.939  46.9  1
1.856  49.1  28
1.608  57.3  13
1.438  64.8  35
1.313  71.9  26
1.137  85.4  8

Cell and atoms:
Unit cell a=7.8766 b=7.8766 c=7.8773 alpha=99.60 beta=99.60 gamma=120.00
Positions (direct):
1 Pm 0.0000 0.0000 0.0000
2 Pr 0.1673 0.8327 0.5000
3 Pr 0.3335 0.6665 0.0000
4 Pr 0.5000 0.5000 0.5000
5 Pr 0.6665 0.3335 0.0000
6 Pr 0.8327 0.1673 0.5000
7 Sb 0.0828 0.4141 0.2485
8 Sb 0.2482 0.2482 0.7510
9 Sb 0.4141 0.0828 0.2485
10 Sb 0.5859 0.9172 0.7515
11 Sb 0.7518 0.7518 0.2490
12 Sb 0.9172 0.5859 0.7515